Record 1
For SnBi2CO, a crystal structure in Alexandria, relaxed with PBE gives the computed XRD peak list in this record (Cu Kα X-rays).
Peak positions follow from Bragg's law for the DFT cell and can differ from measured ones.

Cell and atoms:
Lattice parameters (Å, degrees): 5.8292 5.8292 4.0212 90.00 90.00 90.00
Fractional positions:
1 Sn 0.0000 0.0000 0.0000
2 Bi 0.0000 0.5000 0.0000
3 Bi 0.5000 0.0000 0.0000
4 C 0.0000 0.0000 0.5000
5 O 0.5000 0.5000 0.5000

Largest 10 diffraction maxima, in order of falling intensity, 10° ≤ 2θ ≤ 90°:
two_theta  d (Å)  I_rel  hkl
30.7  2.915  100  2 0 0
38.1  2.360  92  2 0 1
22.1  4.021  89  0 0 1
31.1  2.878  62  1 1 1
21.6  4.122  50  1 1 0
49.7  1.834  45  2 2 1
55.5  1.655  38  2 0 2
43.9  2.061  38  2 2 0
76.9  1.240  26  4 2 1
54.8  1.676  25  3 1 1

---

Record 2
For CeZr3Sc7, a crystal structure in Alexandria, relaxed with PBE gives the computed XRD peak list in this record (Cu Kα X-rays).
Peak positions follow from Bragg's law for the DFT cell and can differ from measured ones.

Cell and atoms:
Lattice parameters (Å, degrees): 6.4420 6.4420 7.7882 90.00 90.00 120.00
Fractional positions:
1 Ce 0.0000 0.0000 0.0000
2 Zr 0.1648 0.3296 0.6580
3 Zr 0.1648 0.8352 0.6580
4 Zr 0.6704 0.8352 0.6580
5 Sc 0.0005 0.5002 0.9817
6 Sc 0.3300 0.1650 0.3329
7 Sc 0.3333 0.6667 0.3260
8 Sc 0.4998 0.9995 0.9817
9 Sc 0.4998 0.5002 0.9817
10 Sc 0.8350 0.1650 0.3329
11 Sc 0.8350 0.6700 0.3329

Largest 10 diffraction maxima, in order of falling intensity, 10° ≤ 2θ ≤ 90°:
two_theta  d (Å)  I_rel  hkl
34.1  2.626  100  2 0 1
39.7  2.268  64  0 2 2
15.9  5.579  33  1 0 0
34.5  2.596  31  0 0 3
68.6  1.369  23  2 2 3
57.2  1.610  21  2 2 0
57.7  1.597  20  2 0 4
19.6  4.535  17  1 0 1
30.0  2.976  15  1 1 1
68.3  1.373  12  0 4 1

---

Record 3
For SrAl2O4, a crystal structure in Alexandria, relaxed with PBE gives the computed XRD peak list in this record (Cu Kα X-rays).
Peak positions follow from Bragg's law for the DFT cell and can differ from measured ones.

Cell and atoms:
Lattice parameters (Å, degrees): 5.2160 8.9126 8.5384 90.00 93.55 90.00
Fractional positions:
1 Sr 0.2012 0.0000 0.0275
2 Sr 0.2545 0.9932 0.4860
3 Sr 0.7455 0.4932 0.5140
4 Sr 0.7988 0.5000 0.9725
5 Al 0.2032 0.3227 0.3192
6 Al 0.2204 0.3225 0.7080
7 Al 0.2738 0.6533 0.2003
8 Al 0.2859 0.6606 0.8106
9 Al 0.7141 0.1606 0.1894
10 Al 0.7262 0.1533 0.7997
11 Al 0.7796 0.8225 0.2920
12 Al 0.7968 0.8227 0.6808
13 O 0.0604 0.1949 0.8259
14 O 0.0920 0.8243 0.7972
15 O 0.1002 0.5066 0.7352
16 O 0.1186 0.2759 0.5118
17 O 0.3499 0.5010 0.3266
18 O 0.3571 0.6066 0.0084
19 O 0.4127 0.1762 0.2702
20 O 0.4390 0.8201 0.2638
21 O 0.5610 0.3201 0.7362
22 O 0.5873 0.6762 0.7298
23 O 0.6429 0.1066 0.9916
24 O 0.6501 0.0010 0.6734
25 O 0.8814 0.7759 0.4882
26 O 0.8998 0.0066 0.2648
27 O 0.9080 0.3243 0.2028
28 O 0.9396 0.6949 0.1741

Largest 10 diffraction maxima, in order of falling intensity, 10° ≤ 2θ ≤ 90°:
two_theta  d (Å)  I_rel  hkl
28.1  3.178  100  1 1 -2
29.0  3.080  95  0 2 2
29.6  3.013  78  1 1 2
34.8  2.580  77  1 3 0
19.7  4.495  47  1 1 0
34.5  2.603  34  2 0 0
46.7  1.946  27  2 2 2
19.9  4.456  25  0 2 0
59.6  1.551  24  2 4 2
42.4  2.131  22  0 0 4

---

Record 4
For Tb5NdY5, a crystal structure in Alexandria, relaxed with PBE gives the computed XRD peak list in this record (Cu Kα X-rays).
Peak positions follow from Bragg's law for the DFT cell and can differ from measured ones.

Cell and atoms:
Lattice parameters (Å, degrees): 6.0965 6.0965 11.7165 90.00 90.00 120.00
Fractional positions:
1 Tb 0.0000 0.0000 0.0000
2 Tb 0.3333 0.6667 0.3215
3 Tb 0.3333 0.6667 0.6785
4 Tb 0.6667 0.3333 0.1557
5 Tb 0.6667 0.3333 0.8443
6 Nd 0.3333 0.6667 0.0000
7 Y 0.0000 0.0000 0.2620
8 Y 0.0000 0.0000 0.7380
9 Y 0.3345 0.1672 0.5000
10 Y 0.8328 0.1672 0.5000
11 Y 0.8328 0.6655 0.5000

Largest 10 diffraction maxima, in order of falling intensity, 10° ≤ 2θ ≤ 90°:
two_theta  d (Å)  I_rel  hkl
28.4  3.140  100  1 0 3
29.3  3.048  88  1 1 0
51.4  1.777  38  2 1 3
30.3  2.950  27  1 1 1
35.0  2.561  25  1 0 4
37.4  2.404  24  1 1 3
60.8  1.524  20  2 2 0
34.8  2.575  19  2 0 1
52.0  1.760  18  3 0 0
41.3  2.187  17  2 0 3